(1)
Structure and computed XRD peak list of NaCd2Hg4Pb (the PBE geometry in Alexandria; Cu Ka).
Neutral-atom scattering factors, no anomalous dispersion.

Largest 10 diffraction maxima, sorted by position, 2θ = 10–90°:
2θ (°)  I (rel.)
25.09  20
28.73  100
29.69  45
40.97  20
41.19  19
41.79  73
51.41  20
51.60  20
67.90  17
69.41  16

Structure:
```
data_NaCd2Hg4Pb
_cell_length_a 8.766
_cell_length_b 8.812
_cell_length_c 12.034
_cell_angle_alpha 90.00
_cell_angle_beta 90.00
_cell_angle_gamma 90.00
_space_group_name_H-M_alt 'F 2 2 2'
_space_group_IT_number 22
_space_group_name_Hall 'F 2 2'
loop_
_atom_site_label
_atom_site_type_symbol
_atom_site_fract_x
_atom_site_fract_y
_atom_site_fract_z
Na1 Na 0.000 0.000 0.000
Cd1 Cd 0.000 0.000 0.500
Cd2 Cd 0.250 0.250 0.250
Hg1 Hg 0.000 0.000 0.254
Hg2 Hg 0.250 0.250 0.007
Pb1 Pb 0.250 0.250 0.750
```


(2)
Structure and computed XRD peak list of Rb2Na6CdHg (the PBE geometry in Alexandria; Cu Ka).
Neutral-atom scattering factors, no anomalous dispersion.

Largest 10 diffraction maxima, sorted by position, 2θ = 10–90°:
2θ (°)  I (rel.)
16.43  100
19.08  68
21.24  98
26.93  50
27.52  30
30.26  53
31.19  39
31.87  41
33.21  31
34.55  33

Structure:
```
data_Rb2Na6CdHg
_cell_length_a 9.303
_cell_length_b 11.470
_cell_length_c 8.111
_cell_angle_alpha 90.00
_cell_angle_beta 90.00
_cell_angle_gamma 90.00
_space_group_name_H-M_alt 'P m m n'
_space_group_IT_number 59
loop_
_space_group_symop_operation_xyz
'x,y,z'
'-x,-y,-z'
'-x+1/2,-y+1/2,z'
'x+1/2,y+1/2,-z'
'x+1/2,-y,-z'
'-x+1/2,y,z'
'-x,y+1/2,-z'
'x,-y+1/2,z'
loop_
_atom_site_label
_atom_site_type_symbol
_atom_site_fract_x
_atom_site_fract_y
_atom_site_fract_z
Rb1 Rb 0.250 0.010 0.243
Na1 Na 0.047 0.250 0.910
Na2 Na 0.053 0.750 0.565
Na3 Na 0.250 0.002 0.739
Cd1 Cd 0.250 0.750 0.901
Hg1 Hg 0.250 0.250 0.588
```


(3)
Structure and computed XRD peak list of Rb2Na4Cd2Hg (the PBE geometry in Alexandria; Cu Ka).
Neutral-atom scattering factors, no anomalous dispersion.

Largest 10 diffraction maxima, sorted by position, 2θ = 10–90°:
2θ (°)  I (rel.)
11.17  44
14.45  100
20.17  46
24.58  53
25.97  33
27.07  34
29.79  73
32.00  60
32.86  46
36.15  54

Structure:
```
data_Rb2Na4Cd2Hg
_cell_length_a 11.588
_cell_length_b 7.244
_cell_length_c 7.981
_cell_angle_alpha 90.00
_cell_angle_beta 97.09
_cell_angle_gamma 90.00
_space_group_name_H-M_alt 'C 1 2/m 1'
_space_group_IT_number 12
loop_
_space_group_symop_operation_xyz
'x,y,z'
'-x,-y,-z'
'-x,y,-z'
'x,-y,z'
'x+1/2,y+1/2,z'
'-x+1/2,-y+1/2,-z'
'-x+1/2,y+1/2,-z'
'x+1/2,-y+1/2,z'
loop_
_atom_site_label
_atom_site_type_symbol
_atom_site_fract_x
_atom_site_fract_y
_atom_site_fract_z
Rb1 Rb 0.162 0.000 0.393
Na1 Na 0.117 0.247 0.863
Cd1 Cd 0.126 0.500 0.195
Hg1 Hg 0.000 0.500 0.500
```


(4)
Structure and computed XRD peak list of NaCdHgSb (the PBE geometry in Alexandria; Cu Ka).
Neutral-atom scattering factors, no anomalous dispersion.

Largest 10 diffraction maxima, sorted by position, 2θ = 10–90°:
2θ (°)  I (rel.)
20.80  15
24.06  19
34.29  100
40.44  9
42.32  6
49.27  18
55.56  8
61.40  36
72.25  11
82.46  16

Structure:
```
data_NaCdHgSb
_cell_length_a 7.397
_cell_length_b 7.397
_cell_length_c 7.397
_cell_angle_alpha 90.00
_cell_angle_beta 90.00
_cell_angle_gamma 90.00
_space_group_name_H-M_alt 'F -4 3 m'
_space_group_IT_number 216
_space_group_name_Hall 'F -4 2 3'
loop_
_atom_site_label
_atom_site_type_symbol
_atom_site_fract_x
_atom_site_fract_y
_atom_site_fract_z
Na1 Na 0.000 0.000 0.000
Cd1 Cd 0.000 0.000 0.500
Hg1 Hg 0.250 0.250 0.750
Sb1 Sb 0.250 0.250 0.250
```


(5)
Structure and computed XRD peak list of NaCdHgSe2 (the PBE geometry in Alexandria; Cu Ka).
Neutral-atom scattering factors, no anomalous dispersion.

Largest 10 diffraction maxima, sorted by position, 2θ = 10–90°:
2θ (°)  I (rel.)
13.77  100
24.29  24
26.45  24
29.49  24
29.86  72
35.30  60
36.21  88
42.17  23
45.23  24
49.76  24

Structure:
```
data_NaCdHgSe2
_cell_length_a 6.647
_cell_length_b 5.383
_cell_length_c 7.576
_cell_angle_alpha 90.00
_cell_angle_beta 104.69
_cell_angle_gamma 90.00
_space_group_name_H-M_alt 'P 1 2/c 1'
_space_group_IT_number 13
loop_
_space_group_symop_operation_xyz
'x,y,z'
'-x,-y,-z'
'-x,y,-z+1/2'
'x,-y,z+1/2'
loop_
_atom_site_label
_atom_site_type_symbol
_atom_site_fract_x
_atom_site_fract_y
_atom_site_fract_z
Na1 Na 0.000 0.122 0.250
Cd1 Cd 0.500 0.444 0.750
Hg1 Hg 0.500 0.000 0.000
Se1 Se 0.190 0.358 0.980
```


(6)
Structure and computed XRD peak list of Na2SrCdHg2 (the PBE geometry in Alexandria; Cu Ka).
Neutral-atom scattering factors, no anomalous dispersion.

Largest 10 diffraction maxima, sorted by position, 2θ = 10–90°:
2θ (°)  I (rel.)
21.01  82
21.95  90
24.60  69
31.24  100
33.85  59
35.66  56
37.91  69
40.12  42
40.72  70
56.87  57

Structure:
```
data_Na2SrCdHg2
_cell_length_a 4.430
_cell_length_b 9.912
_cell_length_c 8.111
_cell_angle_alpha 90.00
_cell_angle_beta 90.00
_cell_angle_gamma 90.00
_space_group_name_H-M_alt 'P m c 21'
_space_group_IT_number 26
loop_
_space_group_symop_operation_xyz
'x,y,z'
'-x,-y,z+1/2'
'-x,y,z'
'x,-y,z+1/2'
loop_
_atom_site_label
_atom_site_type_symbol
_atom_site_fract_x
_atom_site_fract_y
_atom_site_fract_z
Na1 Na 0.000 0.075 0.000
Na2 Na 0.500 0.171 0.327
Sr1 Sr 0.500 0.424 0.912
Cd1 Cd 0.000 0.317 0.589
Hg1 Hg 0.000 0.370 0.215
Hg2 Hg 0.500 0.125 0.710
```


(7)
Structure and computed XRD peak list of NaTlCd3Hg6 (the PBE geometry in Alexandria; Cu Ka).
Neutral-atom scattering factors, no anomalous dispersion.

Largest 10 diffraction maxima, sorted by position, 2θ = 10–90°:
2θ (°)  I (rel.)
27.37  57
29.02  36
29.33  22
32.29  100
33.91  55
36.45  66
40.35  75
41.74  23
43.90  24
47.59  19

Structure:
```
data_NaTlCd3Hg6
_cell_length_a 10.6575
_cell_length_b 10.6575
_cell_length_c 9.1352
_cell_angle_alpha 90.00
_cell_angle_beta 90.00
_cell_angle_gamma 120.00
_space_group_name_H-M_alt 'R 3'
_space_group_IT_number 146
_space_group_name_Hall 'R 3'
loop_
_atom_site_label
_atom_site_type_symbol
_atom_site_fract_x
_atom_site_fract_y
_atom_site_fract_z
Na1 Na 0.0000 0.0000 0.0000
Tl1 Tl 0.0000 0.0000 0.3965
Cd1 Cd 0.0875 0.3741 0.8826
Hg1 Hg 0.0375 0.6252 0.7835
Hg2 Hg 0.1985 0.0908 0.7124
```


(8)
Structure and computed XRD peak list of Na3Tl4Cd2Hg2 (the PBE geometry in Alexandria; Cu Ka).
Neutral-atom scattering factors, no anomalous dispersion.

Largest 10 diffraction maxima, sorted by position, 2θ = 10–90°:
2θ (°)  I (rel.)
11.82  70
19.17  31
24.11  21
29.47  100
32.43  22
36.20  95
38.41  60
55.45  21
64.04  22
68.03  30

Structure:
```
data_Na3Tl4Cd2Hg2
_cell_length_a 4.687
_cell_length_b 4.687
_cell_length_c 29.951
_cell_angle_alpha 90.00
_cell_angle_beta 90.00
_cell_angle_gamma 90.00
_space_group_name_H-M_alt 'I 4/m m m'
_space_group_IT_number 139
_space_group_name_Hall '-I 4 2'
loop_
_atom_site_label
_atom_site_type_symbol
_atom_site_fract_x
_atom_site_fract_y
_atom_site_fract_z
Na1 Na 0.000 0.000 0.000
Na2 Na 0.000 0.000 0.203
Tl1 Tl 0.000 0.500 0.114
Cd1 Cd 0.000 0.000 0.454
Hg1 Hg 0.000 0.000 0.306
```


(9)
Structure and computed XRD peak list of NaZnCdHg (the PBE geometry in Alexandria; Cu Ka).
Neutral-atom scattering factors, no anomalous dispersion.

Largest 10 diffraction maxima, sorted by position, 2θ = 10–90°:
2θ (°)  I (rel.)
21.74  34
25.15  12
35.86  100
42.33  19
51.62  17
56.65  8
64.45  35
76.02  11
80.18  6
87.02  16

Structure:
```
data_NaZnCdHg
_cell_length_a 7.082
_cell_length_b 7.082
_cell_length_c 7.082
_cell_angle_alpha 90.00
_cell_angle_beta 90.00
_cell_angle_gamma 90.00
_space_group_name_H-M_alt 'F -4 3 m'
_space_group_IT_number 216
_space_group_name_Hall 'F -4 2 3'
loop_
_atom_site_label
_atom_site_type_symbol
_atom_site_fract_x
_atom_site_fract_y
_atom_site_fract_z
Na1 Na 0.000 0.000 0.000
Zn1 Zn 0.250 0.250 0.250
Cd1 Cd 0.000 0.000 0.500
Hg1 Hg 0.250 0.250 0.750
```


(10)
Structure and computed XRD peak list of Nd5CdHg3 (the PBE geometry in Alexandria; Cu Ka).
Neutral-atom scattering factors, no anomalous dispersion.

Largest 10 diffraction maxima, sorted by position, 2θ = 10–90°:
2θ (°)  I (rel.)
26.04  14
31.76  24
32.31  99
32.85  100
41.95  11
42.39  15
46.74  30
58.30  27
58.64  13
64.28  32

Structure:
```
data_Nd5CdHg3
_cell_length_a 9.4457
_cell_length_b 9.4457
_cell_length_c 6.8435
_cell_angle_alpha 90.00
_cell_angle_beta 90.00
_cell_angle_gamma 120.00
_space_group_name_H-M_alt 'P 63/m c m'
_space_group_IT_number 193
_space_group_name_Hall '-P 6c 2'
loop_
_atom_site_label
_atom_site_type_symbol
_atom_site_fract_x
_atom_site_fract_y
_atom_site_fract_z
Nd1 Nd 0.0000 0.2984 0.2500
Nd2 Nd 0.3333 0.6667 0.0000
Cd1 Cd 0.0000 0.0000 0.0000
Hg1 Hg 0.0000 0.3658 0.7500
```


(11)
Structure and computed XRD peak list of NdCd4Hg4 (the PBE geometry in Alexandria; Cu Ka).
Neutral-atom scattering factors, no anomalous dispersion.

Largest 10 diffraction maxima, sorted by position, 2θ = 10–90°:
2θ (°)  I (rel.)
17.72  3
33.70  100
38.14  36
40.99  15
55.04  12
57.23  22
66.11  28
70.02  12
70.86  11
81.61  4

Structure:
```
data_NdCd4Hg4
_cell_length_a 10.010
_cell_length_b 10.010
_cell_length_c 4.404
_cell_angle_alpha 90.00
_cell_angle_beta 90.00
_cell_angle_gamma 90.00
_space_group_name_H-M_alt 'I 4/m m m'
_space_group_IT_number 139
_space_group_name_Hall '-I 4 2'
loop_
_atom_site_label
_atom_site_type_symbol
_atom_site_fract_x
_atom_site_fract_y
_atom_site_fract_z
Nd1 Nd 0.000 0.000 0.000
Cd1 Cd 0.000 0.339 0.000
Hg1 Hg 0.171 0.171 0.500
```


(12)
Structure and computed XRD peak list of NdCd4Hg7 (the PBE geometry in Alexandria; Cu Ka).
Neutral-atom scattering factors, no anomalous dispersion.

Largest 10 diffraction maxima, sorted by position, 2θ = 10–90°:
2θ (°)  I (rel.)
33.35  78
33.81  73
34.10  54
34.50  66
34.83  100
36.59  62
46.52  23
49.88  22
52.43  15
62.71  14

Structure:
```
data_NdCd4Hg7
_cell_length_a 6.030
_cell_length_b 6.522
_cell_length_c 7.941
_cell_angle_alpha 102.38
_cell_angle_beta 92.75
_cell_angle_gamma 99.75
_space_group_name_H-M_alt 'P -1'
_space_group_IT_number 2
loop_
_space_group_symop_operation_xyz
'x,y,z'
'-x,-y,-z'
loop_
_atom_site_label
_atom_site_type_symbol
_atom_site_fract_x
_atom_site_fract_y
_atom_site_fract_z
Nd1 Nd 0.000 0.000 0.000
Cd1 Cd 0.240 0.242 0.684
Cd2 Cd 0.327 0.413 0.340
Hg1 Hg 0.000 0.500 0.000
Hg2 Hg 0.177 0.723 0.651
Hg3 Hg 0.277 0.922 0.340
Hg4 Hg 0.477 0.753 0.990
```